[1]
For Pr4Y3Er2, a DFT-relaxed cell (GGA-PBE, Alexandria) gives the calculated powder XRD pattern in this record (Cu Ka).
Intensities are scaled so that the largest is 100.

Main lines, most intense first (2θ from 10° to 80°):
- 2θ = 30.9°, 2.897 Å, rel. 100, (1 3 2)
- 2θ = 31.4°, 2.849 Å, rel. 79, (3 3 0)
- 2θ = 31.3°, 2.858 Å, rel. 40, (0 6 0)
- 2θ = 40.5°, 2.230 Å, rel. 32, (3 3 2)
- 2θ = 61.2°, 1.514 Å, rel. 24, (3 3 4)
- 2θ = 24.9°, 3.576 Å, rel. 22, (0 0 2)
- 2θ = 44.6°, 2.034 Å, rel. 22, (2 6 2)
- 2θ = 55.6°, 1.654 Å, rel. 22, (4 6 2)
- 2θ = 55.8°, 1.648 Å, rel. 13, (3 9 0)
- 2θ = 61.1°, 1.516 Å, rel. 12, (0 6 4)

Atomic structure:
```
data_Pr4Y3Er2
_chemical_formula_sum 'Pr16 Y12 Er8'
_symmetry_space_group_name_H-M 'C c c m'
_symmetry_Int_Tables_number 66
_symmetry_space_group_name_Hall '-C 2 2c'
_cell_length_a 9.857
_cell_length_b 17.151
_cell_length_c 7.152
_cell_angle_alpha 90.00
_cell_angle_beta 90.00
_cell_angle_gamma 90.00
loop_
_atom_site_label
_atom_site_type_symbol
_atom_site_fract_x
_atom_site_fract_y
_atom_site_fract_z
Pr1 Pr 0.165 0.013 0.000
Pr2 Pr 0.185 0.339 0.500
Y1 Y 0.000 0.171 0.250
Y2 Y 0.000 0.500 0.250
Er1 Er 0.150 0.327 0.000
```



[2]
For Pr7Y16Er6, a DFT-relaxed cell (GGA-PBE, Alexandria) gives the calculated powder XRD pattern in this record (Cu Ka).
Intensities are scaled so that the largest is 100.

Main lines, most intense first (2θ from 10° to 80°):
- 2θ = 32.2°, 2.779 Å, rel. 100, (4 4 0)
- 2θ = 29.5°, 3.026 Å, rel. 27, (5 1 1)
- 2θ = 57.4°, 1.605 Å, rel. 23, (8 4 4)
- 2θ = 61.0°, 1.520 Å, rel. 16, (9 5 1)
- 2θ = 46.2°, 1.965 Å, rel. 13, (8 0 0)
- 2θ = 44.2°, 2.047 Å, rel. 12, (5 5 3)
- 2θ = 27.8°, 3.209 Å, rel. 11, (4 2 2)
- 2θ = 15.9°, 5.559 Å, rel. 8, (2 2 0)
- 2θ = 55.8°, 1.648 Å, rel. 7, (9 3 1)
- 2θ = 67.4°, 1.390 Å, rel. 6, (8 8 0)

Atomic structure:
```
data_Pr7Y16Er6
_chemical_formula_sum 'Pr28 Y64 Er24'
_symmetry_space_group_name_H-M 'F m -3 m'
_symmetry_Int_Tables_number 225
_symmetry_space_group_name_Hall '-F 4 2 3'
_cell_length_a 15.723
_cell_length_b 15.723
_cell_length_c 15.723
_cell_angle_alpha 90.00
_cell_angle_beta 90.00
_cell_angle_gamma 90.00
loop_
_atom_site_label
_atom_site_type_symbol
_atom_site_fract_x
_atom_site_fract_y
_atom_site_fract_z
Pr1 Pr 0.000 0.000 0.000
Pr2 Pr 0.000 0.250 0.250
Y1 Y 0.112 0.112 0.388
Y2 Y 0.150 0.150 0.150
Er1 Er 0.000 0.000 0.225
```



[3]
For Pr2Y2Er3, a DFT-relaxed cell (GGA-PBE, Alexandria) gives the calculated powder XRD pattern in this record (Cu Ka).
Intensities are scaled so that the largest is 100.

Main lines, most intense first (2θ from 10° to 80°):
- 2θ = 27.5°, 3.239 Å, rel. 100, (0 0 2)
- 2θ = 31.1°, 2.879 Å, rel. 74, (2 1 -1)
- 2θ = 33.3°, 2.694 Å, rel. 60, (2 1 1)
- 2θ = 31.5°, 2.843 Å, rel. 56, (1 3 1)
- 2θ = 31.9°, 2.809 Å, rel. 54, (0 2 2)
- 2θ = 33.9°, 2.648 Å, rel. 41, (1 2 -2)
- 2θ = 34.9°, 2.572 Å, rel. 37, (1 4 0)
- 2θ = 37.1°, 2.421 Å, rel. 23, (1 4 -1)
- 2θ = 29.0°, 3.080 Å, rel. 22, (2 1 0)
- 2θ = 30.3°, 2.946 Å, rel. 20, (1 3 -1)

Atomic structure:
```
data_Pr2Y2Er3
_chemical_formula_sum 'Pr4 Y4 Er6'
_symmetry_space_group_name_H-M 'P 1 21/c 1'
_symmetry_Int_Tables_number 14
_cell_length_a 6.430
_cell_length_b 11.234
_cell_length_c 6.512
_cell_angle_alpha 90.00
_cell_angle_beta 95.09
_cell_angle_gamma 90.00
loop_
_symmetry_equiv_pos_as_xyz
'x,y,z'
'-x,-y,-z'
'-x,y+1/2,-z+1/2'
'x,-y+1/2,z+1/2'
loop_
_atom_site_label
_atom_site_type_symbol
_atom_site_fract_x
_atom_site_fract_y
_atom_site_fract_z
Pr1 Pr 0.046 0.149 0.463
Y1 Y 0.389 0.729 0.731
Er1 Er 0.247 0.041 0.961
Er2 Er 0.500 0.000 0.500
```



- Number 3 is which compound?
  Pr2Y2Er3